This entry pairs a crystal structure of Sm11Ga9Rh4 with its computed powder X-ray diffraction pattern. Radiation: copper Kα. Structure: a crystal structure in Alexandria, relaxed with PBE.
Kinematic intensities with the Lorentz-polarization factor, no thermal factor.

Cell and atoms:
Unit cell a=12.7008 b=12.7008 c=3.7279 alpha=90.00 beta=90.00 gamma=112.54
Fractional coordinates of all 24 atoms:
Sm 0.0000 0.0000 0.0000
Sm 0.0682 0.4122 0.0000
Sm 0.1685 0.8315 0.0000
Sm 0.3066 0.3066 0.0000
Sm 0.3738 0.6262 0.0000
Sm 0.4122 0.0682 0.0000
Sm 0.5878 0.9318 0.0000
Sm 0.6262 0.3738 0.0000
Sm 0.6934 0.6934 0.0000
Sm 0.8315 0.1685 0.0000
Sm 0.9318 0.5878 0.0000
Ga 0.0774 0.2172 0.5000
Ga 0.1669 0.6308 0.5000
Ga 0.2172 0.0774 0.5000
Ga 0.3692 0.8331 0.5000
Ga 0.5000 0.5000 0.5000
Ga 0.6308 0.1669 0.5000
Ga 0.7828 0.9226 0.5000
Ga 0.8331 0.3692 0.5000
Ga 0.9226 0.7828 0.5000
Rh 0.2417 0.4458 0.5000
Rh 0.4458 0.2417 0.5000
Rh 0.5542 0.7583 0.5000
Rh 0.7583 0.5542 0.5000

Main lines, sorted by position (2θ from 15° to 90°):
2θ (°)  I (rel.)
25.28  11
32.01  11
33.20  15
35.04  100
36.05  36
37.42  24
38.90  10
48.87  20
62.20  14
64.16  10



This entry pairs a crystal structure of Sr4GaRh with its computed powder X-ray diffraction pattern. Radiation: copper Kα. Structure: a crystal structure in Alexandria, relaxed with PBE.
Kinematic intensities with the Lorentz-polarization factor, no thermal factor.

Cell and atoms:
Unit cell a=8.7563 b=8.7563 c=6.7997 alpha=105.84 beta=105.84 gamma=111.68
Fractional coordinates of all 12 atoms:
Sr 0.0520 0.7113 0.9203
Sr 0.2261 0.3530 0.7062
Sr 0.2887 0.9480 0.5797
Sr 0.3530 0.2261 0.2062
Sr 0.6470 0.7739 0.7938
Sr 0.7113 0.0520 0.4203
Sr 0.7739 0.6470 0.2938
Sr 0.9480 0.2887 0.0797
Ga 0.3651 0.6349 0.2500
Ga 0.6349 0.3651 0.7500
Rh 0.0019 0.9981 0.7500
Rh 0.9981 0.0019 0.2500

Main lines, sorted by position (2θ from 15° to 90°):
2θ (°)  I (rel.)
27.91  71
28.86  62
31.06  47
31.72  25
32.52  100
32.61  37
33.49  70
36.36  41
36.47  50
52.60  24



This entry pairs a crystal structure of Sr2Ga7Rh with its computed powder X-ray diffraction pattern. Radiation: copper Kα. Structure: a crystal structure in Alexandria, relaxed with PBE.
Kinematic intensities with the Lorentz-polarization factor, no thermal factor.

Cell and atoms:
Unit cell a=4.3931 b=4.3931 c=10.8404 alpha=90.00 beta=90.00 gamma=90.00
Fractional coordinates of all 10 atoms:
Sr 0.0000 0.5000 0.2450
Sr 0.5000 0.0000 0.7550
Ga 0.0000 0.0000 0.0000
Ga 0.0000 0.0000 0.5000
Ga 0.0000 0.5000 0.6371
Ga 0.0000 0.5000 0.8770
Ga 0.5000 0.0000 0.1230
Ga 0.5000 0.0000 0.3629
Ga 0.5000 0.5000 0.5000
Rh 0.5000 0.5000 0.0000

Main lines, sorted by position (2θ from 15° to 90°):
2θ (°)  I (rel.)
32.07  53
33.24  100
41.09  65
44.36  31
46.72  23
53.06  25
59.52  21
63.95  18
69.90  22
83.90  14



This entry pairs a crystal structure of SrGa6Rh4 with its computed powder X-ray diffraction pattern. Radiation: copper Kα. Structure: a crystal structure in Alexandria, relaxed with PBE.
Kinematic intensities with the Lorentz-polarization factor, no thermal factor.

Cell and atoms:
Unit cell a=7.5064 b=7.5064 c=3.8620 alpha=90.00 beta=90.00 gamma=120.00
Fractional coordinates of all 11 atoms:
Sr 0.0000 0.0000 0.0000
Ga 0.1950 0.3900 0.5000
Ga 0.1950 0.8050 0.5000
Ga 0.5321 0.0643 0.0000
Ga 0.5321 0.4679 0.0000
Ga 0.6100 0.8050 0.5000
Ga 0.9357 0.4679 0.0000
Rh 0.3333 0.6667 0.0000
Rh 0.4105 0.2053 0.5000
Rh 0.7947 0.2053 0.5000
Rh 0.7947 0.5895 0.5000

Main lines, sorted by position (2θ from 15° to 90°):
2θ (°)  I (rel.)
33.29  38
36.12  100
36.57  53
43.66  72
47.06  34
48.15  38
48.51  36
61.03  23
69.90  23
77.46  21